Entry 1:
Computed powder diffraction line list of Nd3Ti for λ = 1.5418 Å (Cu Kα), from a cell relaxed with GGA-PBE.
Lines closer than 0.1° are merged.

Crystal structure
Cell: 4.9600 4.9600 9.8528 Å, 90.00 90.00 90.00°
Space group I4/mmm (No. 139)
Inequivalent atoms, fractional coordinates:
Nd  0.0000  0.0000  0.0000 [2 per cell]
Nd  0.0000  0.5000  0.2500 [4 per cell]
Ti  0.0000  0.0000  0.5000 [2 per cell]

Principal peaks in the range 5 to 70 degrees two-theta, in order of rising 2θ:
hkl 1 0 1, 20.04 deg, I 12
hkl 1 1 2, 31.31 deg, I 100
hkl 2 0 0, 36.22 deg, I 34
hkl 0 0 4, 36.48 deg, I 17
hkl 2 1 1, 41.74 deg, I 4
hkl 2 2 0, 52.16 deg, I 12
hkl 2 0 4, 52.35 deg, I 23
hkl 3 1 2, 62.10 deg, I 28
hkl 1 1 6, 62.45 deg, I 14
hkl 2 2 4, 65.32 deg, I 12


Entry 2:
Computed powder diffraction line list of CdAu for λ = 1.5418 Å (Cu Kα), from a cell relaxed with GGA-PBE.
Lines closer than 0.1° are merged.

Crystal structure
Cell: 4.9196 3.0871 5.1532 Å, 90.00 90.00 90.00°
Space group Pmma (No. 51)
Inequivalent atoms, fractional coordinates:
Cd  0.2500  0.0000  0.1942 [2 per cell]
Au  0.2500  0.5000  0.6893 [2 per cell]

Principal peaks in the range 5 to 70 degrees two-theta, in order of rising 2θ:
hkl 1 0 1, 25.02 deg, I 10
hkl 0 1 1, 33.85 deg, I 11
hkl 0 0 2, 34.82 deg, I 21
hkl 2 0 0, 36.53 deg, I 34
hkl 1 1 1, 38.61 deg, I 100
hkl 1 0 2, 39.48 deg, I 25
hkl 2 0 2, 51.35 deg, I 14
hkl 0 2 0, 59.94 deg, I 9
hkl 0 1 3, 61.81 deg, I 12
hkl 3 1 1, 67.14 deg, I 19


Entry 3:
Computed powder diffraction line list of Mg2Ag for λ = 1.5418 Å (Cu Kα), from a cell relaxed with GGA-PBE.
Lines closer than 0.1° are merged.

Crystal structure
Cell: 3.2794 14.8893 4.8696 Å, 90.00 90.00 90.00°
Space group Cmcm (No. 63)
Inequivalent atoms, fractional coordinates:
Mg  0.0000  0.0624  0.2500 [4 per cell]
Mg  0.0000  0.2617  0.7500 [4 per cell]
Ag  0.0000  0.3952  0.2500 [4 per cell]

Principal peaks in the range 5 to 70 degrees two-theta, in order of rising 2θ:
hkl 0 2 1, 21.81 deg, I 67
hkl 0 4 0, 23.91 deg, I 19
hkl 1 1 0, 27.86 deg, I 22
hkl 1 1 1, 33.49 deg, I 17
hkl 0 6 0, 36.20 deg, I 17
hkl 0 0 2, 36.92 deg, I 31
hkl 1 3 1, 37.71 deg, I 100
hkl 0 6 1, 40.81 deg, I 21
hkl 0 6 2, 52.66 deg, I 16
hkl 1 3 3, 67.04 deg, I 17


Entry 4:
Computed powder diffraction line list of Sc2Ni2Sn for λ = 1.5418 Å (Cu Kα), from a cell relaxed with GGA-PBE.
Lines closer than 0.1° are merged.

Crystal structure
Cell: 7.1466 7.1466 3.3536 Å, 90.00 90.00 90.00°
Space group P4/mbm (No. 127)
Inequivalent atoms, fractional coordinates:
Sc  0.1692  0.3308  0.0000 [4 per cell]
Ni  0.1235  0.6235  0.5000 [4 per cell]
Sn  0.0000  0.0000  0.5000 [2 per cell]

Principal peaks in the range 5 to 70 degrees two-theta, in order of rising 2θ:
hkl 2 0 0, 24.92 deg, I 18
hkl 0 0 1, 26.58 deg, I 36
hkl 1 1 1, 32.03 deg, I 20
hkl 2 2 0, 35.53 deg, I 28
hkl 2 0 1, 36.75 deg, I 70
hkl 2 1 1, 38.93 deg, I 100
hkl 3 1 0, 39.89 deg, I 99
hkl 3 1 1, 48.58 deg, I 45
hkl 0 0 2, 54.74 deg, I 21
hkl 3 1 2, 69.85 deg, I 37


Entry 5:
Computed powder diffraction line list of ScNbTc2 for λ = 1.5418 Å (Cu Kα), from a cell relaxed with GGA-PBE.
Lines closer than 0.1° are merged.

Crystal structure
Cell: 6.4264 6.4264 6.4264 Å, 90.00 90.00 90.00°
Space group Fm-3m (No. 225)
Inequivalent atoms, fractional coordinates:
Sc  0.0000  0.0000  0.0000 [4 per cell]
Nb  0.0000  0.0000  0.5000 [4 per cell]
Tc  0.2500  0.2500  0.2500 [8 per cell]

Principal peaks in the range 5 to 70 degrees two-theta, in order of rising 2θ:
hkl 1 1 1, 23.98 deg, I 6
hkl 2 0 0, 27.76 deg, I 4
hkl 2 2 0, 39.67 deg, I 100
hkl 3 1 1, 46.89 deg, I 3
hkl 2 2 2, 49.11 deg, I 1
hkl 4 0 0, 57.35 deg, I 16
hkl 3 3 1, 63.05 deg, I 1
hkl 4 2 0, 64.89 deg, I 2